Starting from a DFT-relaxed cell (PBE, OQMD), the X-ray diffraction stick pattern of LaW2Au2 was simulated for Cu Kα, 1.54184 Å.
No peak broadening, texture or thermal motion is included.

abc: 4.5659 4.5659 13.4370
angles: 90.00 90.00 120.00
Space group P6_3/mmc (No. 194)
Inequivalent atoms, fractional coordinates:
La1 0.0000 0.0000 0.0000 (multiplicity 2)
W1 0.3333 0.6667 0.1641 (multiplicity 4)
Au1 0.3333 0.6667 0.6430 (multiplicity 4)

The 6 most intense peaks (15° ≤ 2θ ≤ 90°), by angle:
d [Å]  2θ (°)  Rel. int.  index
3.954  22.49  30  1 0 0
3.408  26.15  52  1 0 2
2.560  35.05  59  1 0 4
2.283  39.47  100  1 1 0
1.888  48.19  25  1 1 4
1.599  57.66  46  1 1 6

---

Starting from a DFT-relaxed cell (PBE, OQMD), the X-ray diffraction stick pattern of GdTlNiTe3 was simulated for Cu Kα, 1.54184 Å.
No peak broadening, texture or thermal motion is included.

abc: 4.1459 16.0123 11.0960
angles: 90.00 90.00 90.00
Space group Cmcm (No. 63)
Inequivalent atoms, fractional coordinates:
Gd1 0.0000 0.0000 0.0000 (multiplicity 4)
Tl1 0.0000 0.2519 0.2500 (multiplicity 4)
Ni1 0.0000 0.4788 0.7500 (multiplicity 4)
Te1 0.0000 0.0757 0.7500 (multiplicity 4)
Te2 0.0000 0.3694 0.5816 (multiplicity 8)

The 6 most intense peaks (15° ≤ 2θ ≤ 90°), by angle:
d [Å]  2θ (°)  Rel. int.  index
3.358  26.55  38  0 2 3
3.140  28.42  100  1 3 1
2.820  31.73  35  1 3 2
2.720  32.93  38  1 1 3
2.305  39.07  35  1 5 2
2.281  39.51  45  0 4 4

---

Starting from a DFT-relaxed cell (PBE, OQMD), the X-ray diffraction stick pattern of Fe9Te8 was simulated for Cu Kα, 1.54184 Å.
No peak broadening, texture or thermal motion is included.

abc: 11.2302 11.2302 11.2302
angles: 90.00 90.00 90.00
Space group Fm-3m (No. 225)
Inequivalent atoms, fractional coordinates:
Fe1 0.0000 0.0000 0.0000 (multiplicity 4)
Fe2 0.1124 0.1124 0.3876 (multiplicity 32)
Te1 0.0000 0.0000 0.2273 (multiplicity 24)
Te2 0.2500 0.2500 0.2500 (multiplicity 8)

The 6 most intense peaks (15° ≤ 2θ ≤ 90°), by angle:
d [Å]  2θ (°)  Rel. int.  index
3.242  27.51  100  2 2 2
2.808  31.88  20  4 0 0
2.161  41.80  36  5 1 1
1.985  45.70  89  4 4 0
1.693  54.18  39  6 2 2
1.146  84.54  20  8 4 4

---

Starting from a DFT-relaxed cell (PBE, OQMD), the X-ray diffraction stick pattern of La2PrO3 was simulated for Cu Kα, 1.54184 Å.
No peak broadening, texture or thermal motion is included.

abc: 3.6053 3.6053 8.8184
angles: 90.00 90.00 120.00
Space group P-3m1 (No. 164)
Inequivalent atoms, fractional coordinates:
La1 0.3333 0.6667 0.1676 (multiplicity 2)
Pr1 0.0000 0.0000 0.5000 (multiplicity 1)
O1 0.0000 0.0000 0.0000 (multiplicity 1)
O2 0.3333 0.6667 0.6636 (multiplicity 2)

The 6 most intense peaks (15° ≤ 2θ ≤ 90°), by angle:
d [Å]  2θ (°)  Rel. int.  index
2.942  30.38  100  1 0 1
2.548  35.22  83  0 1 2
1.802  50.66  57  1 1 0
1.537  60.23  46  1 1 3
1.471  63.20  19  2 0 2
1.140  85.14  25  1 2 2